1.
For TbAl8Cu4, the PBE geometry in the Materials Project gives the calculated powder diffraction line list in this record (CuKα).

Top 8 peaks for 10° ≤ 2θ ≤ 90°, sorted by position:
index  Position (°2θ)  d_spacing  Rel. int.
1 1 0  14.2  6.254  29
1 0 1  20.0  4.438  34
2 2 0  28.5  3.131  79
3 0 1  35.1  2.557  30
2 0 2  40.6  2.221  78
4 0 0  40.8  2.212  100
4 2 2  58.9  1.567  29
6 0 2  74.2  1.278  28

Cell and atoms:
```
data_TbAl8Cu4
_symmetry_space_group_name_H-M 'I 4/m m m'
_symmetry_Int_Tables_number 139
_symmetry_space_group_name_Hall '-I 4 2'
_cell_length_a 8.8451
_cell_length_b 8.8451
_cell_length_c 5.1363
_cell_angle_alpha 90.00
_cell_angle_beta 90.00
_cell_angle_gamma 90.00
loop_
_atom_site_label
_atom_site_fract_x
_atom_site_fract_y
_atom_site_fract_z
Tb1 0.0000 0.0000 0.0000
Al1 0.0000 0.2192 0.5000
Al2 0.0000 0.3473 0.0000
Cu1 0.2500 0.2500 0.2500
```

***

2.
For K2Se2N, the PBE geometry in the Materials Project gives the calculated powder diffraction line list in this record (CuKα).

Top 8 peaks for 10° ≤ 2θ ≤ 90°, sorted by position:
index  Position (°2θ)  d_spacing  Rel. int.
1 1 -1  18.1  4.897  74
0 0 2  20.5  4.331  69
1 1 2  28.1  3.173  33
2 0 2  29.8  2.995  26
3 1 -2  31.2  2.871  24
1 1 -3  33.1  2.708  65
2 2 -1  33.4  2.686  100
2 2 1  36.2  2.482  34

Cell and atoms:
```
data_K2Se2N
_symmetry_space_group_name_H-M 'C 1 2/c 1'
_symmetry_Int_Tables_number 15
_cell_length_a 11.1807
_cell_length_b 6.2453
_cell_length_c 9.0161
_cell_angle_alpha 90.00
_cell_angle_beta 105.99
_cell_angle_gamma 90.00
loop_
_symmetry_equiv_pos_as_xyz
'x,y,z'
'-x,-y,-z'
'-x,y,-z+1/2'
'x,-y,z+1/2'
'x+1/2,y+1/2,z'
'-x+1/2,-y+1/2,-z'
'-x+1/2,y+1/2,-z+1/2'
'x+1/2,-y+1/2,z+1/2'
loop_
_atom_site_label
_atom_site_fract_x
_atom_site_fract_y
_atom_site_fract_z
K1 0.1441 0.1580 0.1410
Se1 0.1556 0.3417 0.5002
N1 0.0000 0.1836 0.7500
```

***

3.
For ReSbO6, the PBE geometry in the Materials Project gives the calculated powder diffraction line list in this record (CuKα).

Top 8 peaks for 10° ≤ 2θ ≤ 90°, sorted by position:
index  Position (°2θ)  d_spacing  Rel. int.
1 0 -1  23.8  3.739  100
0 2 0  24.1  3.691  49
0 0 2  33.4  2.682  16
1 2 1  34.1  2.627  56
2 0 -2  48.7  1.870  17
2 2 2  55.1  1.668  20
1 4 -1  55.5  1.655  28
3 2 1  61.4  1.509  14

Cell and atoms:
```
data_ReSbO6
_symmetry_space_group_name_H-M 'P 1 21/m 1'
_symmetry_Int_Tables_number 11
_cell_length_a 5.2164
_cell_length_b 7.3824
_cell_length_c 5.3635
_cell_angle_alpha 90.00
_cell_angle_beta 90.02
_cell_angle_gamma 90.00
loop_
_symmetry_equiv_pos_as_xyz
'x,y,z'
'-x,-y,-z'
'-x,y+1/2,-z'
'x,-y+1/2,z'
loop_
_atom_site_label
_atom_site_fract_x
_atom_site_fract_y
_atom_site_fract_z
Re1 0.0000 0.0000 0.0000
Sb1 0.5000 0.0000 0.5000
O1 0.0853 0.2500 0.9837
O2 0.1893 0.5498 0.7124
O3 0.2927 0.5496 0.1909
O4 0.3800 0.2500 0.4770
```

***

4.
For PrRhO3, the PBE geometry in the Materials Project gives the calculated powder diffraction line list in this record (CuKα).

Top 8 peaks for 10° ≤ 2θ ≤ 90°, sorted by position:
index  Position (°2θ)  d_spacing  Rel. int.
1 1 1  24.9  3.573  17
2 0 0  30.2  2.958  19
1 2 1  31.8  2.811  100
0 0 2  32.9  2.722  24
2 0 2  45.3  2.003  17
0 4 0  46.0  1.973  14
3 1 1  50.6  1.805  13
1 2 3  58.1  1.588  21

Cell and atoms:
```
data_PrRhO3
_symmetry_space_group_name_H-M 'P n m a'
_symmetry_Int_Tables_number 62
_cell_length_a 5.9170
_cell_length_b 7.8922
_cell_length_c 5.4447
_cell_angle_alpha 90.00
_cell_angle_beta 90.00
_cell_angle_gamma 90.00
loop_
_symmetry_equiv_pos_as_xyz
'x,y,z'
'-x,-y,-z'
'-x+1/2,-y,z+1/2'
'x+1/2,y,-z+1/2'
'x+1/2,-y+1/2,-z+1/2'
'-x+1/2,y+1/2,z+1/2'
'-x,y+1/2,-z'
'x,-y+1/2,z'
loop_
_atom_site_label
_atom_site_fract_x
_atom_site_fract_y
_atom_site_fract_z
Pr1 0.0768 0.2500 0.0249
Rh1 0.0000 0.0000 0.5000
O1 0.0351 0.7500 0.3889
O2 0.1963 0.5537 0.8147
```

***

5.
For Ba4Ag3Ge20, the PBE geometry in the Materials Project gives the calculated powder diffraction line list in this record (CuKα).

Top 8 peaks for 10° ≤ 2θ ≤ 90°, sorted by position:
index  Position (°2θ)  d_spacing  Rel. int.
2 2 2  28.0  3.181  36
3 2 0  29.2  3.056  25
3 2 1  30.3  2.945  100
4 0 0  32.5  2.755  17
4 1 0  33.5  2.673  12
5 3 0  48.1  1.890  36
6 0 0  49.6  1.837  20
5 3 2  51.1  1.788  45

Cell and atoms:
```
data_Ba4Ag3Ge20
_symmetry_space_group_name_H-M 'P m -3 n'
_symmetry_Int_Tables_number 223
_symmetry_space_group_name_Hall '-P 4n 2 3'
_cell_length_a 11.0200
_cell_length_b 11.0200
_cell_length_c 11.0200
_cell_angle_alpha 90.00
_cell_angle_beta 90.00
_cell_angle_gamma 90.00
loop_
_atom_site_label
_atom_site_fract_x
_atom_site_fract_y
_atom_site_fract_z
Ba1 0.0000 0.0000 0.0000
Ba2 0.0000 0.2500 0.5000
Ag1 0.0000 0.5000 0.2500
Ge1 0.0000 0.3073 0.1152
Ge2 0.1829 0.1829 0.1829
```

***

Copy entry 4 word for word.
For PrRhO3, the PBE geometry in the Materials Project gives the calculated powder diffraction line list in this record (CuKα).

Top 8 peaks for 10° ≤ 2θ ≤ 90°, sorted by position:
index  Position (°2θ)  d_spacing  Rel. int.
1 1 1  24.9  3.573  17
2 0 0  30.2  2.958  19
1 2 1  31.8  2.811  100
0 0 2  32.9  2.722  24
2 0 2  45.3  2.003  17
0 4 0  46.0  1.973  14
3 1 1  50.6  1.805  13
1 2 3  58.1  1.588  21

Cell and atoms:
```
data_PrRhO3
_symmetry_space_group_name_H-M 'P n m a'
_symmetry_Int_Tables_number 62
_cell_length_a 5.9170
_cell_length_b 7.8922
_cell_length_c 5.4447
_cell_angle_alpha 90.00
_cell_angle_beta 90.00
_cell_angle_gamma 90.00
loop_
_symmetry_equiv_pos_as_xyz
'x,y,z'
'-x,-y,-z'
'-x+1/2,-y,z+1/2'
'x+1/2,y,-z+1/2'
'x+1/2,-y+1/2,-z+1/2'
'-x+1/2,y+1/2,z+1/2'
'-x,y+1/2,-z'
'x,-y+1/2,z'
loop_
_atom_site_label
_atom_site_fract_x
_atom_site_fract_y
_atom_site_fract_z
Pr1 0.0768 0.2500 0.0249
Rh1 0.0000 0.0000 0.5000
O1 0.0351 0.7500 0.3889
O2 0.1963 0.5537 0.8147
```

***

Repeat the third record exactly.
For ReSbO6, the PBE geometry in the Materials Project gives the calculated powder diffraction line list in this record (CuKα).

Top 8 peaks for 10° ≤ 2θ ≤ 90°, sorted by position:
index  Position (°2θ)  d_spacing  Rel. int.
1 0 -1  23.8  3.739  100
0 2 0  24.1  3.691  49
0 0 2  33.4  2.682  16
1 2 1  34.1  2.627  56
2 0 -2  48.7  1.870  17
2 2 2  55.1  1.668  20
1 4 -1  55.5  1.655  28
3 2 1  61.4  1.509  14

Cell and atoms:
```
data_ReSbO6
_symmetry_space_group_name_H-M 'P 1 21/m 1'
_symmetry_Int_Tables_number 11
_cell_length_a 5.2164
_cell_length_b 7.3824
_cell_length_c 5.3635
_cell_angle_alpha 90.00
_cell_angle_beta 90.02
_cell_angle_gamma 90.00
loop_
_symmetry_equiv_pos_as_xyz
'x,y,z'
'-x,-y,-z'
'-x,y+1/2,-z'
'x,-y+1/2,z'
loop_
_atom_site_label
_atom_site_fract_x
_atom_site_fract_y
_atom_site_fract_z
Re1 0.0000 0.0000 0.0000
Sb1 0.5000 0.0000 0.5000
O1 0.0853 0.2500 0.9837
O2 0.1893 0.5498 0.7124
O3 0.2927 0.5496 0.1909
O4 0.3800 0.2500 0.4770
```